# Ce6Th4O19
Theoretical powder X-ray diffraction pattern, Cu Kα (λ = 1.5418 Å). Input: a crystal structure in the Materials Project, relaxed with GGA-PBE.

Most intense lines, 2θ from 10° to 90°, in order of rising 2θ:
hkl 2 0 0, d 3.216, 27.7°, I = 100
hkl 1 5 -1, d 3.200, 27.9°, I = 98
hkl 1 5 1, d 2.778, 32.2°, I = 67
hkl 3 5 -1, d 1.965, 46.2°, I = 67
hkl 3 5 1, d 1.678, 54.7°, I = 45
hkl 2 10 0, d 1.672, 54.9°, I = 29

Atomic structure:
```
data_Ce6Th4O19
_chemical_formula_sum 'Ce12 Th8 O38'
_cell_length_a 6.818
_cell_length_b 19.566
_cell_length_c 6.815
_cell_angle_alpha 90.00
_cell_angle_beta 109.34
_cell_angle_gamma 90.00
_space_group_name_H-M_alt 'C 1 m 1'
_space_group_IT_number 8
loop_
_space_group_symop_operation_xyz
'x,y,z'
'x,-y,z'
'x+1/2,y+1/2,z'
'x+1/2,-y+1/2,z'
loop_
_atom_site_label
_atom_site_fract_x
_atom_site_fract_y
_atom_site_fract_z
_atom_site_occupancy
Ce1 0.000 0.000 0.000 1
Ce2 0.000 0.106 0.470 1
Ce3 0.470 0.000 0.471 1
Ce4 0.499 0.097 0.973 1
Th1 0.001 0.303 0.476 1
Th2 0.495 0.301 0.971 1
O1 0.096 0.092 0.830 1
O2 0.102 0.000 0.368 1
O3 0.121 0.201 0.346 1
O4 0.125 0.301 0.850 1
O5 0.137 0.500 0.834 1
O6 0.142 0.409 0.375 1
O7 0.366 0.000 0.104 1
O8 0.366 0.100 0.600 1
O9 0.372 0.194 0.097 1
O10 0.372 0.399 0.105 1
O11 0.375 0.298 0.598 1
```

***

# CeTh2O6
Theoretical powder X-ray diffraction pattern, Cu Kα (λ = 1.5418 Å). Input: a crystal structure in the Materials Project, relaxed with GGA-PBE.

Most intense lines, 2θ from 10° to 90°, in order of rising 2θ:
hkl 1 0 1, d 3.218, 27.7°, I = 100
hkl 0 1 2, d 2.787, 32.1°, I = 35
hkl 1 1 0, d 1.971, 46.1°, I = 51
hkl 1 1 3, d 1.681, 54.6°, I = 35
hkl 2 1 1, d 1.279, 74.1°, I = 14
hkl 3 0 0, d 1.138, 85.3°, I = 13

Atomic structure:
```
data_CeTh2O6
_chemical_formula_sum 'Ce1 Th2 O6'
_cell_length_a 3.9442
_cell_length_b 3.9442
_cell_length_c 9.6380
_cell_angle_alpha 90.00
_cell_angle_beta 90.00
_cell_angle_gamma 120.00
_space_group_name_H-M_alt 'P -3 m 1'
_space_group_IT_number 164
_space_group_name_Hall '-P 3 2"'
loop_
_atom_site_label
_atom_site_fract_x
_atom_site_fract_y
_atom_site_fract_z
_atom_site_occupancy
Ce1 0.0000 0.0000 0.0000 1
Th1 0.3333 0.6667 0.6697 1
O1 0.0000 0.0000 0.2455 1
O2 0.3333 0.6667 0.4160 1
O3 0.3333 0.6667 0.9206 1
```

***

# CeTi2O6
Theoretical powder X-ray diffraction pattern, Cu Kα (λ = 1.5418 Å). Input: a crystal structure in the Materials Project, relaxed with GGA-PBE.

Most intense lines, 2θ from 10° to 90°, in order of rising 2θ:
hkl 1 1 -1, d 4.442, 20.0°, I = 28
hkl 1 1 1, d 3.382, 26.4°, I = 84
hkl 2 2 0, d 3.235, 27.6°, I = 56
hkl 3 1 -1, d 3.185, 28.0°, I = 100
hkl 5 3 -1, d 1.721, 53.2°, I = 27
hkl 6 0 -2, d 1.711, 53.6°, I = 21

Atomic structure:
```
data_CeTi2O6
_chemical_formula_sum 'Ce4 Ti8 O24'
_cell_length_a 10.704
_cell_length_b 8.672
_cell_length_c 5.185
_cell_angle_alpha 90.00
_cell_angle_beta 114.84
_cell_angle_gamma 90.00
_space_group_name_H-M_alt 'C 1 2/c 1'
_space_group_IT_number 15
loop_
_space_group_symop_operation_xyz
'x,y,z'
'-x,-y,-z'
'-x,y,-z+1/2'
'x,-y,z+1/2'
'x+1/2,y+1/2,z'
'-x+1/2,-y+1/2,-z'
'-x+1/2,y+1/2,-z+1/2'
'x+1/2,-y+1/2,z+1/2'
loop_
_atom_site_label
_atom_site_fract_x
_atom_site_fract_y
_atom_site_fract_z
_atom_site_occupancy
Ce1 0.000 0.192 0.250 1
Ti1 0.229 0.419 0.946 1
O1 0.135 0.414 0.540 1
O2 0.138 0.050 0.634 1
O3 0.140 0.254 0.044 1
```

***

# CeTi2O6
Theoretical powder X-ray diffraction pattern, Cu Kα (λ = 1.5418 Å). Input: a crystal structure in the Materials Project, relaxed with GGA-PBE.

Most intense lines, 2θ from 10° to 90°, in order of rising 2θ:
hkl 2 0 -1, d 4.820, 18.4°, I = 65
hkl 1 1 0, d 3.473, 25.6°, I = 100
hkl 2 0 -2, d 3.390, 26.3°, I = 61
hkl 2 0 1, d 2.930, 30.5°, I = 50
hkl 3 1 -1, d 2.497, 36.0°, I = 40
hkl 5 1 -3, d 1.652, 55.6°, I = 41

Atomic structure:
```
data_CeTi2O6
_chemical_formula_sum 'Ce2 Ti4 O12'
_cell_length_a 9.958
_cell_length_b 3.789
_cell_length_c 6.980
_cell_angle_alpha 90.00
_cell_angle_beta 119.14
_cell_angle_gamma 90.00
_space_group_name_H-M_alt 'C 1 2/m 1'
_space_group_IT_number 12
loop_
_space_group_symop_operation_xyz
'x,y,z'
'-x,-y,-z'
'-x,y,-z'
'x,-y,z'
'x+1/2,y+1/2,z'
'-x+1/2,-y+1/2,-z'
'-x+1/2,y+1/2,-z'
'x+1/2,-y+1/2,z'
loop_
_atom_site_label
_atom_site_fract_x
_atom_site_fract_y
_atom_site_fract_z
_atom_site_occupancy
Ce1 0.000 0.000 0.000 1
Ti1 0.177 0.000 0.611 1
O1 0.025 0.000 0.693 1
O2 0.150 0.500 0.104 1
O3 0.220 0.500 0.595 1
```

***

# CeTiO3
Theoretical powder X-ray diffraction pattern, Cu Kα (λ = 1.5418 Å). Input: a crystal structure in the Materials Project, relaxed with GGA-PBE.

Most intense lines, 2θ from 10° to 90°, in order of rising 2θ:
hkl 1 0 0, d 3.943, 22.6°, I = 22
hkl 1 1 0, d 2.788, 32.1°, I = 100
hkl 1 1 1, d 2.276, 39.6°, I = 26
hkl 2 0 0, d 1.971, 46.0°, I = 34
hkl 2 1 1, d 1.610, 57.2°, I = 38
hkl 2 2 0, d 1.394, 67.2°, I = 20

Atomic structure:
```
data_CeTiO3
_chemical_formula_sum 'Ce1 Ti1 O3'
_cell_length_a 3.943
_cell_length_b 3.943
_cell_length_c 3.943
_cell_angle_alpha 90.00
_cell_angle_beta 90.00
_cell_angle_gamma 90.00
_space_group_name_H-M_alt 'P m -3 m'
_space_group_IT_number 221
_space_group_name_Hall '-P 4 2 3'
loop_
_atom_site_label
_atom_site_fract_x
_atom_site_fract_y
_atom_site_fract_z
_atom_site_occupancy
Ce1 0.000 0.000 0.000 1
Ti1 0.500 0.500 0.500 1
O1 0.000 0.500 0.500 1
```

***

# CeTmO3
Theoretical powder X-ray diffraction pattern, Cu Kα (λ = 1.5418 Å). Input: a crystal structure in the Materials Project, relaxed with GGA-PBE.

Most intense lines, 2θ from 10° to 90°, in order of rising 2θ:
hkl 2 0 0, d 3.013, 29.6°, I = 23
hkl 1 2 1, d 2.963, 30.2°, I = 100
hkl 0 0 2, d 2.905, 30.8°, I = 23
hkl 2 0 2, d 2.091, 43.3°, I = 19
hkl 3 2 1, d 1.730, 52.9°, I = 15
hkl 1 2 3, d 1.688, 54.3°, I = 23

Atomic structure:
```
data_CeTmO3
_chemical_formula_sum 'Ce4 Tm4 O12'
_cell_length_a 6.027
_cell_length_b 8.395
_cell_length_c 5.810
_cell_angle_alpha 90.00
_cell_angle_beta 90.00
_cell_angle_gamma 90.00
_space_group_name_H-M_alt 'P n m a'
_space_group_IT_number 62
loop_
_space_group_symop_operation_xyz
'x,y,z'
'-x,-y,-z'
'-x+1/2,-y,z+1/2'
'x+1/2,y,-z+1/2'
'x+1/2,-y+1/2,-z+1/2'
'-x+1/2,y+1/2,z+1/2'
'-x,y+1/2,-z'
'x,-y+1/2,z'
loop_
_atom_site_label
_atom_site_fract_x
_atom_site_fract_y
_atom_site_fract_z
_atom_site_occupancy
Ce1 0.055 0.250 0.014 1
Tm1 0.000 0.000 0.500 1
O1 0.059 0.750 0.370 1
O2 0.188 0.567 0.815 1
```

***

# CeU5O12
Theoretical powder X-ray diffraction pattern, Cu Kα (λ = 1.5418 Å). Input: a crystal structure in the Materials Project, relaxed with GGA-PBE.

Most intense lines, 2θ from 10° to 90°, in order of rising 2θ:
hkl 2 0 0, d 3.137, 28.5°, I = 100
hkl 1 3 1, d 2.717, 33.0°, I = 36
hkl 2 0 2, d 1.921, 47.3°, I = 50
hkl 3 3 1, d 1.638, 56.1°, I = 47
hkl 4 0 2, d 1.247, 76.4°, I = 20
hkl 5 3 1, d 1.109, 88.1°, I = 18

Atomic structure:
```
data_CeU5O12
_chemical_formula_sum 'Ce2 U10 O24'
_cell_length_a 6.655
_cell_length_b 11.527
_cell_length_c 6.655
_cell_angle_alpha 90.00
_cell_angle_beta 109.47
_cell_angle_gamma 90.00
_space_group_name_H-M_alt 'C 1 2/m 1'
_space_group_IT_number 12
loop_
_space_group_symop_operation_xyz
'x,y,z'
'-x,-y,-z'
'-x,y,-z'
'x,-y,z'
'x+1/2,y+1/2,z'
'-x+1/2,-y+1/2,-z'
'-x+1/2,y+1/2,-z'
'x+1/2,-y+1/2,z'
loop_
_atom_site_label
_atom_site_fract_x
_atom_site_fract_y
_atom_site_fract_z
_atom_site_occupancy
Ce1 0.000 0.000 0.000 1
U1 0.000 0.167 0.500 1
U2 0.000 0.333 0.000 1
U3 0.000 0.500 0.500 1
O1 0.116 0.500 0.871 1
O2 0.125 0.333 0.377 1
O3 0.128 0.170 0.871 1
O4 0.129 0.000 0.384 1
```